Entry 1:
Theoretical X-ray diffraction stick pattern
Compound: SmMgPdRh
Radiation: Cu Kα, 1.54184 Å
Structure: DFT lattice parameters and positions (GGA-PBE)
Lines closer than 0.1° are merged.

Main lines, sorted by position (10° ≤ 2θ ≤ 90°):
2θ/deg	I (rel.)
22.82	244
26.41	14
37.70	1000
44.52	127
54.37	171
59.72	54
68.05	344
72.81	40
80.50	107
85.03	41

Structural model:
```
SmMgPdRh
1.0
0.000 3.375 3.375
3.375 0.000 3.375
3.375 3.375 0.000
Sm Mg Pd Rh
1 1 1 1
direct
0.000 0.000 0.000 Sm
0.500 0.500 0.500 Mg
0.750 0.750 0.750 Pd
0.250 0.250 0.250 Rh
```

=====

Entry 2:
Theoretical X-ray diffraction stick pattern
Compound: MgSbPd5
Radiation: Cu Kα, 1.54184 Å
Structure: DFT lattice parameters and positions (GGA-PBE)
Lines closer than 0.1° are merged.

Main lines, sorted by position (10° ≤ 2θ ≤ 90°):
2θ/deg	I (rel.)
16.47	228
26.61	87
32.03	110
38.34	137
39.56	1000
42.23	524
46.15	128
49.40	108
64.33	93
75.42	143

Structural model:
```
MgSbPd5
1.0
-3.934 4.280 3.690
3.934 -4.280 3.690
3.934 4.280 -3.690
Mg Sb Pd
2 2 10
direct
0.422 0.172 0.250 Mg
0.578 0.828 0.750 Mg
0.000 0.500 0.500 Sb
0.500 0.500 0.000 Sb
0.056 0.806 0.250 Pd
0.245 0.000 0.745 Pd
0.245 0.500 0.245 Pd
0.259 0.308 0.549 Pd
0.259 0.710 0.951 Pd
0.741 0.290 0.049 Pd
0.741 0.692 0.451 Pd
0.755 0.000 0.255 Pd
0.755 0.500 0.755 Pd
0.944 0.194 0.750 Pd
```

=====

Entry 3:
Theoretical X-ray diffraction stick pattern
Compound: MgSb2Pd7
Radiation: Cu Kα, 1.54184 Å
Structure: DFT lattice parameters and positions (GGA-PBE)
Lines closer than 0.1° are merged.

Main lines, sorted by position (10° ≤ 2θ ≤ 90°):
2θ/deg	I (rel.)
22.26	185
30.02	93
39.97	1000
44.62	372
50.05	120
64.94	119
69.28	177
79.05	262
86.24	99
87.10	91

Structural model:
```
MgSb2Pd7
1.0
-2.031 2.031 10.934
2.031 -2.031 10.934
2.031 2.031 -10.934
Mg Sb Pd
1 2 7
direct
0.000 0.000 0.000 Mg
0.332 0.332 0.000 Sb
0.668 0.668 0.000 Sb
0.090 0.590 0.500 Pd
0.250 0.750 0.500 Pd
0.410 0.910 0.500 Pd
0.500 0.500 0.000 Pd
0.590 0.090 0.500 Pd
0.750 0.250 0.500 Pd
0.910 0.410 0.500 Pd
```

=====

Entry 4:
Theoretical X-ray diffraction stick pattern
Compound: Mg3SbPd6
Radiation: Cu Kα, 1.54184 Å
Structure: DFT lattice parameters and positions (GGA-PBE)
Lines closer than 0.1° are merged.

Main lines, sorted by position (10° ≤ 2θ ≤ 90°):
2θ/deg	I (rel.)
10.52	91
29.83	94
38.83	1000
42.58	178
42.80	203
49.78	131
61.96	117
67.70	88
75.42	102
75.74	135

Structural model:
```
Mg3SbPd6
1.0
8.463 0.000 0.000
0.000 4.226 0.000
-1.082 0.000 9.191
Mg Sb Pd
6 2 12
direct
0.050 0.250 0.397 Mg
0.152 0.750 0.189 Mg
0.253 0.250 0.979 Mg
0.747 0.750 0.021 Mg
0.848 0.250 0.811 Mg
0.950 0.750 0.603 Mg
0.432 0.250 0.627 Sb
0.568 0.750 0.373 Sb
0.038 0.750 0.897 Pd
0.124 0.250 0.691 Pd
0.246 0.750 0.486 Pd
0.341 0.750 0.798 Pd
0.342 0.250 0.290 Pd
0.441 0.750 0.092 Pd
0.559 0.250 0.908 Pd
0.658 0.750 0.710 Pd
0.659 0.250 0.202 Pd
0.754 0.250 0.514 Pd
0.876 0.750 0.309 Pd
0.962 0.250 0.103 Pd
```

=====

Which formula does entry 3 have?
MgSb2Pd7